1.
Starting from a structure optimized by DFT (GGA-PBE), the XRD peak list of PaFeN was simulated for Cu Kα.
No peak broadening, texture or thermal motion is included.

The 10 most intense peaks (10 to 90 degrees two-theta), low angle first:
21.62 deg, I = 36
27.07 deg, I = 100
27.40 deg, I = 50
31.00 deg, I = 36
31.15 deg, I = 87
34.29 deg, I = 37
35.52 deg, I = 51
36.95 deg, I = 33
45.21 deg, I = 32
52.79 deg, I = 40

Structural model:
```
PaFeN
1.0
4.1188 0.0000 0.0000
0.0000 4.0112 0.0000
-0.3547 0.0000 5.7696
Pa Fe N
2 2 2
Direct
0.1251 0.2500 0.2598
0.8749 0.7500 0.7402
0.3888 0.2500 0.9306
0.6112 0.7500 0.0694
0.1439 0.2500 0.6407
0.8561 0.7500 0.3593
```


2.
Starting from a structure optimized by DFT (GGA-PBE), the XRD peak list of Pm2Al3PdPt12 was simulated for Cu Kα.
No peak broadening, texture or thermal motion is included.

The 10 most intense peaks (10 to 90 degrees two-theta), low angle first:
23.02 deg, I = 12
31.72 deg, I = 100
43.86 deg, I = 55
47.05 deg, I = 43
55.13 deg, I = 20
66.27 deg, I = 15
72.98 deg, I = 17
77.68 deg, I = 12
80.61 deg, I = 9
82.90 deg, I = 15

Structural model:
```
Pm2Al3PdPt12
1.0
4.1286 2.3836 6.1208
-4.1286 2.3836 6.1208
0.0000 -4.7673 6.1208
Pm Al Pd Pt
2 3 1 12
Direct
0.1116 0.1116 0.1116
0.8884 0.8884 0.8884
0.0000 0.5000 0.5000
0.5000 0.0000 0.5000
0.5000 0.5000 0.0000
0.5000 0.5000 0.5000
0.1150 0.6397 0.6397
0.1328 0.1328 0.6069
0.1328 0.6069 0.1328
0.3603 0.3603 0.8850
0.3603 0.8850 0.3603
0.3931 0.8672 0.8672
0.6069 0.1328 0.1328
0.6397 0.1150 0.6397
0.6397 0.6397 0.1150
0.8672 0.3931 0.8672
0.8672 0.8672 0.3931
0.8850 0.3603 0.3603
```